Computed XRD peak list of Na6ZnSi2Ge3P4O24 for Cu Kα, 1.54184 Å, from a structure optimized by DFT (PBE).

Most intense lines, 10° ≤ 2θ ≤ 90°, by angle:
| two_theta | I/Imax | (hkl) |
| --- | --- | --- |
| 14.4 | 43.2 | 1 0 -1 |
| 20.3 | 100.0 | 0 1 -2 |
| 20.4 | 68.6 | 1 -2 1 |
| 29.0 | 40.0 | 2 0 -2 |
| 32.1 | 38.9 | 2 -1 2 |
| 32.4 | 59.5 | 1 1 -3 |
| 35.6 | 67.5 | 3 0 -1 |
| 35.8 | 38.5 | 3 -3 1 |

Atomic structure:
```
data_Na6ZnSi2Ge3P4O24
_chemical_formula_sum 'Na6 Zn1 Si2 Ge3 P4 O24'
_space_group_name_H-M_alt 'P 1'
_space_group_IT_number 1
_space_group_name_Hall 'P 1'
_cell_length_a 8.710
_cell_length_b 8.720
_cell_length_c 8.732
_cell_angle_alpha 119.26
_cell_angle_beta 90.02
_cell_angle_gamma 119.60
loop_
_atom_site_label
_atom_site_fract_x
_atom_site_fract_y
_atom_site_fract_z
_atom_site_occupancy
Na1 0.000 0.000 0.000 1
Na2 0.110 0.868 0.250 1
Na3 0.235 0.743 0.529 1
Na4 0.350 0.745 0.993 1
Na5 0.621 0.878 0.763 1
Na6 0.877 0.052 0.544 1
Zn1 0.964 0.574 0.816 1
Si1 0.082 0.384 0.021 1
Si2 0.169 0.383 0.513 1
Ge1 0.270 0.182 0.705 1
Ge2 0.474 0.590 0.324 1
Ge3 0.773 0.182 0.207 1
P1 0.392 0.116 0.018 1
P2 0.570 0.088 0.506 1
P3 0.654 0.675 0.020 1
P4 0.869 0.676 0.518 1
O1 0.047 0.860 0.521 1
O2 0.064 0.550 0.007 1
O3 0.110 0.218 0.837 1
O4 0.155 0.557 0.690 1
O5 0.180 0.210 0.534 1
O6 0.225 0.944 0.026 1
O7 0.260 0.528 0.204 1
O8 0.348 0.086 0.827 1
O9 0.362 0.533 0.486 1
O10 0.385 0.072 0.521 1
O11 0.445 0.334 0.179 1
O12 0.481 0.467 0.850 1
O13 0.546 0.891 0.497 1
O14 0.559 0.095 0.027 1
O15 0.592 0.074 0.322 1
O16 0.627 0.703 0.205 1
O17 0.662 0.859 0.019 1
O18 0.708 0.703 0.492 1
O19 0.740 0.278 0.672 1
O20 0.838 0.697 0.013 1
O21 0.841 0.468 0.353 1
O22 0.894 0.208 0.036 1
O23 0.899 0.701 0.702 1
O24 0.972 0.216 0.334 1
```